# 1
Simulated powder diffraction line list
Compound: SrCu2GeS4
Radiation: CuKα
Structure: a structure optimized by DFT (PBE)
Intensities are scaled so that the largest is 100.

Crystal structure
abc: 6.1823 6.1823 15.3042
angles: 90.00 90.00 120.00
Element x y z (fractional)
1 Sr 0.0000 0.5542 0.3333
2 Sr 0.4458 0.4458 0.0000
3 Sr 0.5542 0.0000 0.6667
4 Cu 0.0773 0.6522 0.0887
5 Cu 0.3478 0.4250 0.7554
6 Cu 0.4250 0.3478 0.2446
7 Cu 0.5750 0.9227 0.4220
8 Cu 0.6522 0.0773 0.9113
9 Cu 0.9227 0.5750 0.5780
10 Ge 0.0000 0.7129 0.8333
11 Ge 0.2871 0.2871 0.5000
12 Ge 0.7129 0.0000 0.1667
13 S 0.0381 0.5083 0.7182
14 S 0.1024 0.3371 0.1650
15 S 0.2346 0.8976 0.4983
16 S 0.3371 0.1024 0.8350
17 S 0.4702 0.9619 0.0516
18 S 0.4917 0.5298 0.3849
19 S 0.5083 0.0381 0.2818
20 S 0.5298 0.4917 0.6151
21 S 0.6629 0.7654 0.8317
22 S 0.7654 0.6629 0.1683
23 S 0.8976 0.2346 0.5017
24 S 0.9619 0.4702 0.9484

Main lines, sorted by position (10 to 90 degrees two-theta):
2θ = 24.10°, d = 3.693 Å, intensity 38, hkl 1 0 3; 2θ = 28.68°, d = 3.113 Å, intensity 100, hkl 1 0 4; 2θ = 28.88°, d = 3.091 Å, intensity 98, hkl 1 1 0; 2θ = 33.73°, d = 2.657 Å, intensity 39, hkl 1 0 5; 2θ = 37.96°, d = 2.370 Å, intensity 47, hkl 0 2 3; 2θ = 41.15°, d = 2.193 Å, intensity 39, hkl 0 2 4; 2θ = 50.67°, d = 1.801 Å, intensity 37, hkl 0 1 8; 2θ = 51.06°, d = 1.789 Å, intensity 29, hkl 2 1 4; 2θ = 51.56°, d = 1.773 Å, intensity 28, hkl 0 3 1; 2θ = 54.35°, d = 1.688 Å, intensity 30, hkl 2 1 5

***

# 2
Simulated powder diffraction line list
Compound: SrCu2GeS4
Radiation: CuKα
Structure: a structure optimized by DFT (PBE)
Intensities are scaled so that the largest is 100.

Crystal structure
abc: 6.3202 6.3202 8.2759
angles: 90.00 90.00 90.00
Element x y z (fractional)
1 Sr 0.0000 0.0000 0.0000
2 Sr 0.5000 0.5000 0.5000
3 Cu 0.0000 0.5000 0.2500
4 Cu 0.0000 0.5000 0.7500
5 Cu 0.5000 0.0000 0.2500
6 Cu 0.5000 0.0000 0.7500
7 Ge 0.0000 0.0000 0.5000
8 Ge 0.5000 0.5000 0.0000
9 S 0.2000 0.2000 0.6624
10 S 0.2000 0.8000 0.3376
11 S 0.3000 0.3000 0.1624
12 S 0.3000 0.7000 0.8376
13 S 0.7000 0.3000 0.8376
14 S 0.7000 0.7000 0.1624
15 S 0.8000 0.2000 0.3376
16 S 0.8000 0.8000 0.6624

Main lines, sorted by position (10 to 90 degrees two-theta):
2θ = 28.24°, d = 3.160 Å, intensity 21, hkl 2 0 0; 2θ = 29.42°, d = 3.036 Å, intensity 100, hkl 1 1 2; 2θ = 40.36°, d = 2.235 Å, intensity 31, hkl 2 2 0; 2θ = 50.73°, d = 1.800 Å, intensity 44, hkl 3 1 2; 2θ = 52.89°, d = 1.731 Å, intensity 24, hkl 2 0 4; 2θ = 58.41°, d = 1.580 Å, intensity 8, hkl 4 0 0; 2θ = 61.04°, d = 1.518 Å, intensity 8, hkl 2 2 4; 2θ = 71.60°, d = 1.318 Å, intensity 7, hkl 1 1 6; 2θ = 80.97°, d = 1.187 Å, intensity 8, hkl 5 1 2; 2θ = 82.69°, d = 1.167 Å, intensity 10, hkl 4 2 4

***

# 3
Simulated powder diffraction line list
Compound: Tb3CuGeS7
Radiation: CuKα
Structure: a structure optimized by DFT (PBE)
Intensities are scaled so that the largest is 100.

Crystal structure
abc: 9.9097 9.9097 5.8408
angles: 90.00 90.00 120.00
Element x y z (fractional)
1 Tb 0.1328 0.7756 0.0000
2 Tb 0.2244 0.3572 0.0000
3 Tb 0.3572 0.1328 0.5000
4 Tb 0.6428 0.8672 0.0000
5 Tb 0.7756 0.6428 0.5000
6 Tb 0.8672 0.2244 0.5000
7 Cu 0.0000 0.0000 0.4323
8 Cu 0.0000 0.0000 0.9323
9 Ge 0.3333 0.6667 0.5806
10 Ge 0.6667 0.3333 0.0806
11 S 0.0986 0.5195 0.7421
12 S 0.0988 0.8404 0.4611
13 S 0.1596 0.2584 0.4611
14 S 0.2584 0.0988 0.9611
15 S 0.3333 0.6667 0.2028
16 S 0.4210 0.9014 0.7421
17 S 0.4805 0.5790 0.7421
18 S 0.5195 0.4210 0.2421
19 S 0.5790 0.0986 0.2421
20 S 0.6667 0.3333 0.7028
21 S 0.7416 0.9012 0.4611
22 S 0.8404 0.7416 0.9611
23 S 0.9012 0.1596 0.9611
24 S 0.9014 0.4805 0.2421

Main lines, sorted by position (10 to 90 degrees two-theta):
2θ = 23.55°, d = 3.778 Å, intensity 25, hkl 1 1 1; 2θ = 25.76°, d = 3.458 Å, intensity 100, hkl 2 0 1; 2θ = 27.50°, d = 3.244 Å, intensity 23, hkl 2 1 0; 2θ = 30.61°, d = 2.920 Å, intensity 25, hkl 0 0 2; 2θ = 36.26°, d = 2.477 Å, intensity 47, hkl 2 2 0; 2θ = 37.24°, d = 2.414 Å, intensity 22, hkl 2 0 2; 2θ = 37.80°, d = 2.380 Å, intensity 29, hkl 3 1 0; 2θ = 40.94°, d = 2.204 Å, intensity 27, hkl 1 3 1; 2θ = 41.61°, d = 2.170 Å, intensity 33, hkl 2 1 2; 2θ = 48.17°, d = 1.889 Å, intensity 23, hkl 2 2 2